(1)
# Ho2InSnPd4
Calculated powder XRD pattern, Cu Kα. Input: a structure optimized by DFT (PBE).
No peak broadening, texture or thermal motion is included.

Peak list (10 most intense, 2θ = 10–90°, in order of rising 2θ)
2θ = 30.16°, intensity 37.2; 2θ = 37.85°, intensity 96.2; 2θ = 39.32°, intensity 100.0; 2θ = 50.34°, intensity 9.1; 2θ = 55.72°, intensity 31.1; 2θ = 67.36°, intensity 15.5; 2θ = 70.31°, intensity 30.7; 2θ = 71.28°, intensity 17.1; 2θ = 80.88°, intensity 9.4; 2θ = 84.58°, intensity 11.0

```
8
Lattice="4.5829 0.0000 0.0000 -2.2914 3.9689 0.0000 0.0000 0.0000 8.9050" Properties=species:S:1:pos:R:3 pbc="T T T"
Ho 0.0000 2.6459 2.2285
Ho 2.2914 1.3230 6.6766
In 0.0000 0.0000 4.4525
Sn 0.0000 0.0000 0.0000
Pd 0.0000 2.6459 5.2218
Pd 0.0000 2.6459 8.1273
Pd 2.2914 1.3230 0.7778
Pd 2.2914 1.3230 3.6833
```



(2)
# TbHoIn4Pd2
Calculated powder XRD pattern, Cu Kα. Input: a structure optimized by DFT (PBE).
No peak broadening, texture or thermal motion is included.

Peak list (10 most intense, 2θ = 10–90°, in order of rising 2θ)
2θ = 32.11°, intensity 100.0; 2θ = 34.69°, intensity 71.9; 2θ = 36.26°, intensity 29.5; 2θ = 39.52°, intensity 22.6; 2θ = 40.48°, intensity 64.4; 2θ = 41.91°, intensity 28.4; 2θ = 55.45°, intensity 17.2; 2θ = 57.85°, intensity 14.6; 2θ = 65.79°, intensity 17.5; 2θ = 70.85°, intensity 15.9

```
8
Lattice="7.5973 0.0000 0.0000 0.0000 2.2292 5.2410 0.0000 -2.2292 5.2410" Properties=species:S:1:pos:R:3 pbc="T T T"
Tb 0.0000 0.0000 0.0000
Ho 3.7987 0.0000 8.9474
In 1.5301 0.0000 3.0344
In 2.2768 0.0000 5.9169
In 5.3206 0.0000 5.9169
In 6.0673 0.0000 3.0344
Pd 0.0000 0.0000 7.4940
Pd 3.7987 0.0000 1.4509
```



(3)
# Ho2TmIn3Pd3
Calculated powder XRD pattern, Cu Kα. Input: a structure optimized by DFT (PBE).
No peak broadening, texture or thermal motion is included.

Peak list (10 most intense, 2θ = 10–90°, in order of rising 2θ)
2θ = 33.18°, intensity 100.0; 2θ = 35.66°, intensity 46.5; 2θ = 35.89°, intensity 85.0; 2θ = 40.63°, intensity 39.1; 2θ = 43.13°, intensity 19.0; 2θ = 47.99°, intensity 21.6; 2θ = 55.31°, intensity 17.0; 2θ = 61.20°, intensity 19.0; 2θ = 64.64°, intensity 19.4; 2θ = 65.90°, intensity 31.2

```
9
Lattice="3.7918 0.0000 0.0000 0.0000 6.6561 3.8492 0.0000 -6.6561 3.8492" Properties=species:S:1:pos:R:3 pbc="T T T"
Ho 0.0000 -3.9434 3.8492
Ho 0.0000 3.9434 3.8492
Tm 0.0000 0.0000 2.9941
In 1.8959 0.0000 0.4484
In 1.8959 -1.7389 5.1190
In 1.8959 1.7389 5.1190
Pd 0.0000 0.0000 6.1248
Pd 1.8959 -2.2063 2.2838
Pd 1.8959 2.2063 2.2838
```



(4)
# Ho2ScIn3Pt2
Calculated powder XRD pattern, Cu Kα. Input: a structure optimized by DFT (PBE).
No peak broadening, texture or thermal motion is included.

Peak list (10 most intense, 2θ = 10–90°, in order of rising 2θ)
2θ = 13.34°, intensity 34.6; 2θ = 34.55°, intensity 100.0; 2θ = 35.81°, intensity 57.0; 2θ = 35.99°, intensity 22.9; 2θ = 37.13°, intensity 22.9; 2θ = 37.23°, intensity 44.8; 2θ = 40.94°, intensity 18.8; 2θ = 44.28°, intensity 14.7; 2θ = 51.71°, intensity 16.7; 2θ = 64.50°, intensity 24.6

```
8
Lattice="3.5354 0.0000 0.0000 0.0000 6.6468 3.8114 0.0000 -6.6468 3.8114" Properties=species:S:1:pos:R:3 pbc="T T T"
Ho 0.0000 -3.8483 3.8114
Ho 0.0000 3.8483 3.8114
Sc 0.0000 0.0000 4.8285
In 1.7677 -1.5074 2.5078
In 1.7677 1.5074 2.5078
In 1.7677 0.0000 7.4184
Pt 1.7677 -2.1409 5.3930
Pt 1.7677 2.1409 5.3930
```



(5)
# Tb2HoIn3Pt2
Calculated powder XRD pattern, Cu Kα. Input: a structure optimized by DFT (PBE).
No peak broadening, texture or thermal motion is included.

Peak list (10 most intense, 2θ = 10–90°, in order of rising 2θ)
2θ = 13.26°, intensity 26.0; 2θ = 33.86°, intensity 100.0; 2θ = 35.57°, intensity 69.3; 2θ = 36.51°, intensity 68.2; 2θ = 40.53°, intensity 19.2; 2θ = 43.63°, intensity 15.0; 2θ = 50.09°, intensity 16.8; 2θ = 55.67°, intensity 20.7; 2θ = 62.93°, intensity 25.9; 2θ = 69.44°, intensity 15.8

```
8
Lattice="3.6422 0.0000 0.0000 0.0000 6.6704 3.8599 0.0000 -6.6704 3.8599" Properties=species:S:1:pos:R:3 pbc="T T T"
Tb 0.0000 -3.8649 3.8599
Tb 0.0000 3.8649 3.8599
Ho 0.0000 0.0000 4.8750
In 1.8211 -1.5299 2.5152
In 1.8211 1.5299 2.5152
In 1.8211 0.0000 7.5621
Pt 1.8211 -2.2084 5.4795
Pt 1.8211 2.2084 5.4795
```



(6)
# TbHoIn4Pt2
Calculated powder XRD pattern, Cu Kα. Input: a structure optimized by DFT (PBE).
No peak broadening, texture or thermal motion is included.

Peak list (10 most intense, 2θ = 10–90°, in order of rising 2θ)
2θ = 31.99°, intensity 97.1; 2θ = 34.88°, intensity 100.0; 2θ = 36.36°, intensity 37.3; 2θ = 40.47°, intensity 31.6; 2θ = 41.03°, intensity 44.8; 2θ = 41.52°, intensity 34.3; 2θ = 55.97°, intensity 21.7; 2θ = 66.23°, intensity 20.9; 2θ = 69.93°, intensity 20.4; 2θ = 70.81°, intensity 20.0

```
8
Lattice="7.7321 0.0000 0.0000 0.0000 2.1997 5.2146 0.0000 -2.1997 5.2146" Properties=species:S:1:pos:R:3 pbc="T T T"
Tb 0.0000 0.0000 0.0000
Ho 3.8661 0.0000 8.9166
In 1.5503 0.0000 3.0290
In 2.3233 0.0000 5.8915
In 5.4088 0.0000 5.8915
In 6.1818 0.0000 3.0290
Pt 0.0000 0.0000 7.4138
Pt 3.8661 0.0000 1.5028
```



(7)
# HoTm2In3Pt2
Calculated powder XRD pattern, Cu Kα. Input: a structure optimized by DFT (PBE).
No peak broadening, texture or thermal motion is included.

Peak list (10 most intense, 2θ = 10–90°, in order of rising 2θ)
2θ = 13.33°, intensity 27.6; 2θ = 34.20°, intensity 100.0; 2θ = 35.76°, intensity 69.6; 2θ = 36.86°, intensity 69.4; 2θ = 40.75°, intensity 19.1; 2θ = 49.47°, intensity 16.5; 2θ = 50.85°, intensity 16.5; 2θ = 56.10°, intensity 21.6; 2θ = 63.71°, intensity 25.5; 2θ = 69.96°, intensity 15.5

```
8
Lattice="3.5914 0.0000 0.0000 0.0000 6.6502 3.8311 0.0000 -6.6502 3.8311" Properties=species:S:1:pos:R:3 pbc="T T T"
Ho 0.0000 0.0000 0.0000
Tm 0.0000 -2.8039 2.8207
Tm 0.0000 2.8039 2.8207
In 1.7957 0.0000 2.6715
In 1.7957 -1.5408 5.3170
In 1.7957 1.5408 5.3170
Pt 1.7957 -4.4177 4.4398
Pt 1.7957 4.4177 4.4398
```



(8)
# Y2HoIn3Pt2
Calculated powder XRD pattern, Cu Kα. Input: a structure optimized by DFT (PBE).
No peak broadening, texture or thermal motion is included.

Peak list (10 most intense, 2θ = 10–90°, in order of rising 2θ)
2θ = 13.26°, intensity 29.3; 2θ = 33.89°, intensity 100.0; 2θ = 35.59°, intensity 76.2; 2θ = 36.55°, intensity 66.6; 2θ = 40.56°, intensity 22.8; 2θ = 43.67°, intensity 26.4; 2θ = 50.16°, intensity 17.6; 2θ = 63.01°, intensity 28.2; 2θ = 66.23°, intensity 18.5; 2θ = 69.51°, intensity 17.8

```
8
Lattice="3.6373 0.0000 0.0000 0.0000 6.6676 3.8562 0.0000 -6.6676 3.8562" Properties=species:S:1:pos:R:3 pbc="T T T"
Y 0.0000 -3.8682 3.8562
Y 0.0000 3.8682 3.8562
Ho 0.0000 0.0000 4.8686
In 1.8187 -1.5354 2.5125
In 1.8187 1.5354 2.5125
In 1.8187 0.0000 7.5473
Pt 1.8187 -2.1981 5.4685
Pt 1.8187 2.1981 5.4685
```



Q: Which formula does entry 1 have?
A: Ho2InSnPd4



What did the eighth record say?
# Y2HoIn3Pt2
Calculated powder XRD pattern, Cu Kα. Input: a structure optimized by DFT (PBE).
No peak broadening, texture or thermal motion is included.

Peak list (10 most intense, 2θ = 10–90°, in order of rising 2θ)
2θ = 13.26°, intensity 29.3; 2θ = 33.89°, intensity 100.0; 2θ = 35.59°, intensity 76.2; 2θ = 36.55°, intensity 66.6; 2θ = 40.56°, intensity 22.8; 2θ = 43.67°, intensity 26.4; 2θ = 50.16°, intensity 17.6; 2θ = 63.01°, intensity 28.2; 2θ = 66.23°, intensity 18.5; 2θ = 69.51°, intensity 17.8

```
8
Lattice="3.6373 0.0000 0.0000 0.0000 6.6676 3.8562 0.0000 -6.6676 3.8562" Properties=species:S:1:pos:R:3 pbc="T T T"
Y 0.0000 -3.8682 3.8562
Y 0.0000 3.8682 3.8562
Ho 0.0000 0.0000 4.8686
In 1.8187 -1.5354 2.5125
In 1.8187 1.5354 2.5125
In 1.8187 0.0000 7.5473
Pt 1.8187 -2.1981 5.4685
Pt 1.8187 2.1981 5.4685
```